1.
Structure and calculated XRD peak list of ErMgCu10 (a crystal structure in Alexandria, relaxed with PBE; a wavelength of 1.5418 Å).
No peak broadening, texture or thermal motion is included.

Cell and atoms:
a = 4.0785 Å, b = 4.9599 Å, c = 8.5761 Å
α = 90.00°, β = 90.00°, γ = 90.00°
Fractional coordinates of all 12 atoms:
1 Er 0.0000 0.0000 0.0000
2 Mg 0.0000 0.5000 0.5000
3 Cu 0.0000 0.0000 0.3413
4 Cu 0.0000 0.0000 0.6587
5 Cu 0.0000 0.5000 0.1765
6 Cu 0.0000 0.5000 0.8235
7 Cu 0.5000 0.0000 0.5000
8 Cu 0.5000 0.2483 0.2498
9 Cu 0.5000 0.2483 0.7502
10 Cu 0.5000 0.5000 0.0000
11 Cu 0.5000 0.7517 0.2498
12 Cu 0.5000 0.7517 0.7502

Top 10 peaks for 2θ = 15–90°, most intense first:
42.70°, rel. 100; 44.42°, rel. 32; 42.11°, rel. 32; 30.23°, rel. 26; 47.90°, rel. 25; 36.25°, rel. 23; 69.65°, rel. 21; 62.87°, rel. 18; 80.60°, rel. 14; 58.63°, rel. 11



2.
Structure and calculated XRD peak list of LaSm5Pt2 (a crystal structure in Alexandria, relaxed with PBE; a wavelength of 1.5418 Å).
No peak broadening, texture or thermal motion is included.

Cell and atoms:
a = 7.0297 Å, b = 7.0297 Å, c = 18.8294 Å
α = 90.00°, β = 90.00°, γ = 147.96°
Fractional coordinates of all 16 atoms:
1 La 0.2018 0.7982 0.7500
2 La 0.7982 0.2018 0.2500
3 Sm 0.0681 0.9319 0.2500
4 Sm 0.1689 0.8311 0.5557
5 Sm 0.1689 0.8311 0.9443
6 Sm 0.4416 0.5584 0.5898
7 Sm 0.4416 0.5584 0.9102
8 Sm 0.5584 0.4416 0.0898
9 Sm 0.5584 0.4416 0.4102
10 Sm 0.8311 0.1689 0.0557
11 Sm 0.8311 0.1689 0.4443
12 Sm 0.9319 0.0681 0.7500
13 Pt 0.2107 0.7893 0.1335
14 Pt 0.2107 0.7893 0.3665
15 Pt 0.7893 0.2107 0.6335
16 Pt 0.7893 0.2107 0.8665

Top 10 peaks for 2θ = 15–90°, most intense first:
33.83°, rel. 100; 33.67°, rel. 91; 30.41°, rel. 82; 35.70°, rel. 77; 46.84°, rel. 35; 60.26°, rel. 34; 40.68°, rel. 32; 28.44°, rel. 31; 35.97°, rel. 25; 38.86°, rel. 24